# 1
Starting from a DFT-relaxed cell (PBE, Alexandria), the powder diffractogram of Pm3MgAg was calculated for copper Kα.

Top 6 peaks for 10° ≤ 2θ ≤ 90°, sorted by position:
d_spacing	I (rel.)
3.178	37.8
2.982	82.6
2.874	79.3
2.829	68.9
2.734	100.0
2.505	81.5

```
Pm3MgAg
1.0
6.3269 -3.3763 0.0000
6.3269 3.3763 0.0000
-0.0570 0.0000 13.8006
Pm Mg Ag
12 4 4
direct
0.0135 0.6294 0.3968 Pm
0.0781 0.0815 0.3825 Pm
0.0815 0.0781 0.8825 Pm
0.1676 0.5313 0.8072 Pm
0.3706 0.9865 0.1032 Pm
0.4687 0.8324 0.6928 Pm
0.5313 0.1676 0.3072 Pm
0.6294 0.0135 0.8968 Pm
0.8324 0.4687 0.1928 Pm
0.9185 0.9219 0.1175 Pm
0.9219 0.9185 0.6175 Pm
0.9865 0.3706 0.6032 Pm
0.4071 0.4244 0.0755 Mg
0.4244 0.4071 0.5755 Mg
0.5756 0.5929 0.4245 Mg
0.5929 0.5756 0.9245 Mg
0.0000 0.5000 0.0000 Ag
0.3330 0.6670 0.2500 Ag
0.5000 0.0000 0.5000 Ag
0.6670 0.3330 0.7500 Ag
```

=====

# 2
Starting from a DFT-relaxed cell (PBE, Alexandria), the powder diffractogram of Cs2SrZnSb2 was calculated for copper Kα.

Top 6 peaks for 10° ≤ 2θ ≤ 90°, sorted by position:
d_spacing	I (rel.)
3.820	20.6
3.367	100.0
2.862	22.5
2.844	19.8
2.686	54.2
2.107	26.8

```
Cs2SrZnSb2
1.0
-3.7781 8.6405 3.8202
3.7781 -8.6405 3.8202
3.7781 8.6405 -3.8202
Cs Sr Zn Sb
4 2 2 4
direct
0.1764 0.2320 0.4084 Cs
0.3236 0.7320 0.0556 Cs
0.6764 0.2680 0.9444 Cs
0.8236 0.7680 0.5916 Cs
0.2500 0.7500 0.5000 Sr
0.7500 0.2500 0.5000 Sr
0.2500 0.2500 0.0000 Zn
0.7500 0.7500 0.0000 Zn
0.0862 0.7916 0.8777 Sb
0.4138 0.2916 0.7054 Sb
0.5862 0.7084 0.2946 Sb
0.9138 0.2084 0.1223 Sb
```

=====

# 3
Starting from a DFT-relaxed cell (PBE, Alexandria), the powder diffractogram of Sc4TaRh5 was calculated for copper Kα.

Top 6 peaks for 10° ≤ 2θ ≤ 90°, sorted by position:
d_spacing	I (rel.)
8.284	13.5
2.293	100.0
2.246	47.2
1.588	15.5
1.333	16.7
1.306	31.3

```
Sc4TaRh5
1.0
3.1765 0.0000 0.0000
0.0000 3.1765 0.0000
0.0000 0.0000 16.5681
Sc Ta Rh
4 1 5
direct
0.0000 0.0000 0.0999 Sc
0.0000 0.0000 0.2996 Sc
0.0000 0.0000 0.7004 Sc
0.0000 0.0000 0.9001 Sc
0.0000 0.0000 0.5000 Ta
0.5000 0.5000 0.0000 Rh
0.5000 0.5000 0.2006 Rh
0.5000 0.5000 0.4038 Rh
0.5000 0.5000 0.5962 Rh
0.5000 0.5000 0.7994 Rh
```

=====

# 4
Starting from a DFT-relaxed cell (PBE, Alexandria), the powder diffractogram of Rb2SnTe2 was calculated for copper Kα.

Top 6 peaks for 10° ≤ 2θ ≤ 90°, sorted by position:
d_spacing	I (rel.)
3.929	26.3
3.612	29.8
3.360	100.0
2.826	36.0
2.555	53.3
2.367	27.5

```
Rb2SnTe2
1.0
2.3671 -11.9239 0.0000
2.3671 11.9239 0.0000
0.0000 0.0000 7.8572
Rb Sn Te
4 2 4
direct
0.0314 0.9686 0.5000 Rb
0.1958 0.8042 0.2401 Rb
0.8042 0.1958 0.7401 Rb
0.9686 0.0314 0.0000 Rb
0.3962 0.6038 0.3190 Sn
0.6038 0.3962 0.8190 Sn
0.1801 0.8199 0.7611 Te
0.4204 0.5796 0.6730 Te
0.5796 0.4204 0.1730 Te
0.8199 0.1801 0.2611 Te
```

=====

# 5
Starting from a DFT-relaxed cell (PBE, Alexandria), the powder diffractogram of Mg2AgSb was calculated for copper Kα.

Top 6 peaks for 10° ≤ 2θ ≤ 90°, sorted by position:
d_spacing	I (rel.)
4.129	70.7
3.249	39.0
3.209	37.8
2.553	100.0
2.534	97.9
1.531	39.3

```
Mg2AgSb
1.0
6.4177 0.0000 0.0000
0.0000 8.2584 0.0000
-0.0091 0.0000 3.2491
Mg Ag Sb
4 2 2
direct
0.2500 0.2500 0.0000 Mg
0.2500 0.7500 0.0000 Mg
0.7500 0.2500 0.0000 Mg
0.7500 0.7500 0.0000 Mg
0.0000 0.0000 0.5000 Ag
0.5000 0.5000 0.5000 Ag
0.0000 0.5000 0.5000 Sb
0.5000 0.0000 0.5000 Sb
```

=====

# 6
Starting from a DFT-relaxed cell (PBE, Alexandria), the powder diffractogram of Sr3Li6Pb5 was calculated for copper Kα.

Top 6 peaks for 10° ≤ 2θ ≤ 90°, sorted by position:
d_spacing	I (rel.)
4.465	22.1
4.387	25.1
3.481	100.0
2.791	28.9
2.771	23.2
2.488	25.9

```
Sr3Li6Pb5
1.0
-2.4883 5.0558 7.3044
2.4883 -5.0558 7.3044
2.4883 5.0558 -7.3044
Sr Li Pb
3 6 5
direct
0.0000 0.0000 0.0000 Sr
0.2924 0.2924 0.0000 Sr
0.7076 0.7076 0.0000 Sr
0.1511 0.8619 0.2891 Li
0.3293 0.5000 0.8293 Li
0.4272 0.1381 0.2891 Li
0.5728 0.8619 0.7109 Li
0.6707 0.5000 0.1707 Li
0.8489 0.1381 0.7109 Li
0.0032 0.6533 0.3499 Pb
0.3034 0.6533 0.6501 Pb
0.5000 0.0000 0.5000 Pb
0.6966 0.3467 0.3499 Pb
0.9968 0.3467 0.6501 Pb
```